Diffraction record for NaZn2WN4. The PXRD pattern is simulated, not measured: it uses a DFT-relaxed cell (PBE, Alexandria) and λ = 1.5418 Å (Cu Kα).

Cell and atoms:
```
data_NaZn2WN4
_cell_length_a 7.0535
_cell_length_b 5.7087
_cell_length_c 5.4746
_cell_angle_alpha 90.00
_cell_angle_beta 90.00
_cell_angle_gamma 90.00
_symmetry_space_group_name_H-M 'P m n 21'
_symmetry_Int_Tables_number 31
loop_
_symmetry_equiv_pos_as_xyz
'x,y,z'
'-x+1/2,-y,z+1/2'
'-x,y,z'
'x+1/2,-y,z+1/2'
loop_
_atom_site_label
_atom_site_type_symbol
_atom_site_fract_x
_atom_site_fract_y
_atom_site_fract_z
Na1 Na 0.0000 0.1785 0.0000
Zn1 Zn 0.2460 0.3294 0.5091
W1 W 0.0000 0.8118 0.5127
N1 N 0.0000 0.1409 0.4509
N2 N 0.0000 0.7673 0.8543
N3 N 0.2104 0.6617 0.3766
```

The 10 most intense peaks (2θ from 10° to 90°), most intense first:
2θ/deg	d/Å	I (rel.)	h k l
34.08	2.631	100	2 1 1
20.54	4.325	63	1 0 1
20.01	4.437	53	1 1 0
32.72	2.737	43	0 0 2
35.47	2.531	31	0 2 1
59.27	1.559	27	2 1 3
65.33	1.428	26	2 3 2
29.78	3.000	26	2 1 0
31.34	2.854	24	0 2 0
54.82	1.675	21	2 3 0